# TbHo3C8
Calculated PXRD pattern, Cu Kα (weighted mean of Kα1 and Kα2). Input: a crystal structure in Alexandria, relaxed with GGA-PBE.
Lines closer than 0.1° are merged.

Atomic structure:
```
12
Lattice="4.0124 -4.9053 0.0000 4.0124 4.9053 0.0000 -4.0055 0.0000 4.5468" Properties=species:S:1:pos:R:3 pbc="T T T"
Tb 0.0000 0.0000 0.0000
Ho 2.3204 2.4521 2.2753
Ho 3.9184 0.0000 0.0018
Ho 2.3204 -2.4521 2.2753
C 1.9354 1.6170 0.0027
C -1.1364 0.0000 2.2983
C 4.8804 2.5237 0.0055
C 1.9354 -1.6170 0.0027
C 1.8688 0.0000 3.0642
C 2.8779 0.0000 2.2524
C 4.8804 -2.5237 0.0055
C 5.8784 0.0000 1.4876
```

Largest 10 diffraction maxima, by intensity, 10° ≤ 2θ ≤ 80°:
| d_spacing | two_theta | I/Imax |
| --- | --- | --- |
| 3.335 | 26.73 | 100 |
| 3.008 | 29.70 | 91 |
| 3.106 | 28.74 | 88 |
| 1.901 | 47.85 | 53 |
| 1.835 | 49.70 | 50 |
| 2.453 | 36.64 | 32 |
| 1.719 | 53.29 | 28 |
| 2.273 | 39.64 | 26 |
| 1.667 | 55.08 | 18 |
| 1.539 | 60.13 | 14 |


# Ac2S3
Calculated PXRD pattern, Cu Kα (weighted mean of Kα1 and Kα2). Input: a crystal structure in Alexandria, relaxed with GGA-PBE.
Lines closer than 0.1° are merged.

Atomic structure:
```
40
Lattice="-4.5380 4.5380 13.5380 4.5380 -4.5380 13.5380 4.5380 4.5380 -13.5380" Properties=species:S:1:pos:R:3 pbc="T T T"
Ac 3.2420 2.3565 -5.7325
Ac 0.0000 0.0000 4.4483
Ac 6.7196 1.2961 1.0365
Ac 1.2961 2.3565 -1.0365
Ac 2.2690 -1.0940 10.1535
Ac 3.4441 2.2690 3.3845
Ac 2.2690 5.6320 -3.3845
Ac 1.2961 2.1815 7.8055
Ac 2.1815 -1.2961 19.2705
Ac 0.0000 4.5380 2.3207
Ac 3.2420 2.1815 12.5015
Ac 0.0000 0.0000 22.6277
Ac 2.3565 5.8341 5.7325
Ac 1.0940 2.2690 16.9225
Ac -2.1815 3.2420 14.5745
Ac 0.0000 4.5380 11.2173
S 7.4748 0.6429 -1.8134
S 2.8827 -0.6650 3.9070
S 5.2030 -1.6553 9.6310
S 3.7948 1.4944 0.4511
S 1.4944 -0.7433 7.2201
S 3.8731 2.8827 -2.8620
S 6.1934 0.6650 3.9070
S 0.6429 1.6013 1.8134
S 3.0436 5.2813 -6.3179
S 3.0436 -0.7433 13.0869
S 0.6429 2.9368 4.9556
S 1.6553 -0.6650 16.4000
S 3.8731 1.6553 9.6310
S 1.4944 5.2813 -0.4511
S 3.7948 3.0436 6.3179
S 0.6650 1.6553 10.6760
S 2.8827 5.2030 2.8620
S -1.6013 3.8952 8.5824
S 0.7433 3.0436 13.9891
S -0.6429 6.1393 4.9556
S -2.9368 3.8952 11.7246
S 1.6013 5.1809 8.5824
S 3.8952 2.9368 15.3514
S 0.7433 1.4944 19.8559
```

Largest 10 diffraction maxima, by intensity, 10° ≤ 2θ ≤ 80°:
| d_spacing | two_theta | I/Imax |
| --- | --- | --- |
| 3.698 | 24.07 | 100 |
| 2.869 | 31.17 | 51 |
| 2.424 | 37.09 | 30 |
| 2.028 | 44.68 | 23 |
| 1.931 | 47.06 | 23 |
| 2.856 | 31.32 | 21 |
| 1.471 | 63.19 | 19 |
| 2.417 | 37.20 | 18 |
| 1.780 | 51.34 | 15 |
| 1.775 | 51.49 | 14 |


# CsCaTeSe
Calculated PXRD pattern, Cu Kα (weighted mean of Kα1 and Kα2). Input: a crystal structure in Alexandria, relaxed with GGA-PBE.
Lines closer than 0.1° are merged.

Atomic structure:
```
4
Lattice="3.8290 0.0000 0.0000 0.0000 1.9527 9.2845 0.0000 -1.9527 9.2845" Properties=species:S:1:pos:R:3 pbc="T T T"
Cs 0.0000 0.0000 0.0000
Ca 0.0000 0.0000 3.7395
Te 1.9145 0.0000 6.4527
Se 1.9145 0.0000 11.8686
```

Largest 10 diffraction maxima, by intensity, 10° ≤ 2θ ≤ 80°:
| d_spacing | two_theta | I/Imax |
| --- | --- | --- |
| 3.303 | 27.00 | 100 |
| 2.705 | 33.12 | 100 |
| 2.954 | 30.26 | 97 |
| 1.629 | 56.50 | 45 |
| 3.095 | 28.85 | 43 |
| 1.904 | 47.77 | 42 |
| 3.540 | 25.16 | 39 |
| 1.656 | 55.48 | 27 |
| 2.691 | 33.29 | 27 |
| 1.671 | 54.96 | 21 |